# 1
Calculated powder X-ray diffraction pattern
Compound: TiTl4S4
Radiation: Cu Kα (λ = 1.5418 Å)
Structure: a cell relaxed with PBE

Crystal structure
```
data_TiTl4S4
_chemical_formula_sum 'Ti4 Tl16 S16'
_cell_length_a 8.510
_cell_length_b 8.435
_cell_length_c 15.908
_cell_angle_alpha 90.00
_cell_angle_beta 105.96
_cell_angle_gamma 90.00
_symmetry_space_group_name_H-M 'P 1 21/c 1'
_symmetry_Int_Tables_number 14
loop_
_symmetry_equiv_pos_as_xyz
'x,y,z'
'-x,-y,-z'
'-x,y+1/2,-z+1/2'
'x,-y+1/2,z+1/2'
loop_
_atom_site_label
_atom_site_type_symbol
_atom_site_fract_x
_atom_site_fract_y
_atom_site_fract_z
Ti1 Ti 0.208 0.110 0.378
Tl1 Tl 0.030 0.511 0.637
Tl2 Tl 0.176 0.106 0.619
Tl3 Tl 0.389 0.723 0.360
Tl4 Tl 0.414 0.683 0.610
S1 S 0.048 0.661 0.211
S2 S 0.189 0.607 0.961
S3 S 0.297 0.173 0.961
S4 S 0.381 0.055 0.295
```

The 10 most intense peaks (2θ = 15–90°), in order of falling intensity:
- (0 0 4), 2θ 23.26, I 100
- (1 2 0), 2θ 23.73, I 83
- (2 1 0), 2θ 24.17, I 60
- (1 2 -4), 2θ 31.24, I 45
- (2 1 -4), 2θ 29.22, I 43
- (1 3 -1), 2θ 33.70, I 42
- (2 0 2), 2θ 27.43, I 39
- (2 1 4), 2θ 37.90, I 29
- (2 1 1), 2θ 26.27, I 28
- (3 1 0), 2θ 34.56, I 25

=====

# 2
Calculated powder X-ray diffraction pattern
Compound: Ti5TlS8
Radiation: Cu Kα (λ = 1.5418 Å)
Structure: a cell relaxed with PBE

Crystal structure
```
data_Ti5TlS8
_chemical_formula_sum 'Ti10 Tl2 S16'
_cell_length_a 17.778
_cell_length_b 3.417
_cell_length_c 8.995
_cell_angle_alpha 90.00
_cell_angle_beta 104.82
_cell_angle_gamma 90.00
_symmetry_space_group_name_H-M 'C 1 2/m 1'
_symmetry_Int_Tables_number 12
loop_
_symmetry_equiv_pos_as_xyz
'x,y,z'
'-x,-y,-z'
'-x,y,-z'
'x,-y,z'
'x+1/2,y+1/2,z'
'-x+1/2,-y+1/2,-z'
'-x+1/2,y+1/2,-z'
'x+1/2,-y+1/2,z'
loop_
_atom_site_label
_atom_site_type_symbol
_atom_site_fract_x
_atom_site_fract_y
_atom_site_fract_z
Ti1 Ti 0.000 0.000 0.000
Ti2 Ti 0.164 0.500 0.994
Ti3 Ti 0.208 0.500 0.350
Tl1 Tl 0.000 0.500 0.500
S1 S 0.077 0.500 0.164
S2 S 0.088 0.000 0.830
S3 S 0.161 0.000 0.495
S4 S 0.244 0.000 0.172
```

The 10 most intense peaks (2θ = 15–90°), in order of falling intensity:
- (3 1 1), 2θ 33.48, I 100
- (4 0 -1), 2θ 20.62, I 79
- (3 1 -2), 2θ 34.57, I 79
- (0 2 0), 2θ 53.63, I 77
- (0 0 2), 2θ 20.42, I 73
- (3 1 -3), 2θ 40.79, I 68
- (2 0 2), 2θ 25.18, I 53
- (6 0 -2), 2θ 32.75, I 49
- (3 1 -1), 2θ 30.85, I 46
- (1 1 1), 2θ 29.03, I 38